Record 1
# Tb6SmDyEr2
Computed XRD peak list, Cu Kα (λ = 1.5418 Å). Input: the GGA-PBE geometry in Alexandria.

Crystal structure
a b c (Å): 8.776 8.776 9.533
angles (deg): 93.71 93.71 117.68
Element x y z (fractional)
Tb  0.017  0.566  0.183
Tb  0.121  0.752  0.556
Tb  0.248  0.879  0.944
Tb  0.292  0.508  0.381
Tb  0.434  0.983  0.317
Tb  0.492  0.708  0.119
Tb  0.508  0.292  0.881
Tb  0.566  0.017  0.683
Tb  0.708  0.492  0.619
Tb  0.752  0.121  0.056
Tb  0.879  0.248  0.444
Tb  0.983  0.434  0.817
Sm  0.026  0.974  0.250
Sm  0.974  0.026  0.750
Dy  0.409  0.591  0.750
Dy  0.591  0.409  0.250
Er  0.199  0.303  0.046
Er  0.303  0.199  0.546
Er  0.697  0.801  0.454
Er  0.801  0.697  0.954

Main lines, low angle first (2θ = 5–70°):
- 2θ 28.22, I = 16
- 2θ 28.62, I = 37
- 2θ 30.71, I = 98
- 2θ 31.41, I = 100
- 2θ 31.70, I = 35
- 2θ 32.45, I = 21
- 2θ 34.02, I = 43
- 2θ 34.75, I = 14
- 2θ 50.92, I = 11
- 2θ 58.54, I = 11



Record 2
# TbSmDyEr2
Computed XRD peak list, Cu Kα (λ = 1.5418 Å). Input: the GGA-PBE geometry in Alexandria.

Crystal structure
a b c (Å): 7.072 7.072 7.172
angles (deg): 90.00 90.00 107.59
Element x y z (fractional)
Tb  0.001  0.999  0.750
Tb  0.999  0.001  0.250
Sm  0.274  0.726  0.750
Sm  0.726  0.274  0.250
Dy  0.277  0.723  0.250
Dy  0.723  0.277  0.750
Er  0.311  0.311  0.000
Er  0.311  0.311  0.500
Er  0.689  0.689  0.000
Er  0.689  0.689  0.500

Main lines, low angle first (2θ = 5–70°):
- 2θ 26.44, I = 50
- 2θ 28.19, I = 32
- 2θ 29.42, I = 59
- 2θ 31.35, I = 62
- 2θ 32.92, I = 100
- 2θ 33.11, I = 33
- 2θ 36.06, I = 57
- 2θ 40.13, I = 42
- 2θ 46.10, I = 66
- 2θ 66.45, I = 34



Record 3
# SmDy2ErTh
Computed XRD peak list, Cu Kα (λ = 1.5418 Å). Input: the GGA-PBE geometry in Alexandria.

Crystal structure
a b c (Å): 8.543 6.374 6.305
angles (deg): 90.00 98.14 90.00
Element x y z (fractional)
Sm  0.000  0.000  0.000
Sm  0.000  0.000  0.500
Dy  0.315  0.310  0.207
Dy  0.315  0.690  0.707
Dy  0.685  0.310  0.293
Dy  0.685  0.690  0.793
Er  0.500  0.176  0.750
Er  0.500  0.824  0.250
Th  0.000  0.450  0.750
Th  0.000  0.550  0.250

Main lines, low angle first (2θ = 5–70°):
- 2θ 21.01, I = 44
- 2θ 27.56, I = 58
- 2θ 28.60, I = 55
- 2θ 29.96, I = 100
- 2θ 30.57, I = 78
- 2θ 31.74, I = 41
- 2θ 31.93, I = 48
- 2θ 32.62, I = 48
- 2θ 34.98, I = 50
- 2θ 42.49, I = 46